The following is a calculated X-ray diffraction stick pattern of La4Pm2Pb3O2. It was derived from a GGA-PBE-relaxed structure, using Cu Ka.
Intensities are scaled so that the largest is 1000.

Structural model:
a b c (Å): 13.762 13.762 13.762
angles (deg): 159.49 159.49 29.16
Fractional positions:
La  0.084  0.584  0.500
La  0.416  0.916  0.500
La  0.584  0.084  0.500
La  0.916  0.416  0.500
Pm  0.196  0.196  0.000
Pm  0.804  0.804  0.000
Pb  0.319  0.319  0.000
Pb  0.500  0.500  0.000
Pb  0.681  0.681  0.000
O  0.106  0.106  0.000
O  0.894  0.894  0.000

Largest 12 diffraction maxima, in order of rising 2θ, 5° ≤ 2θ ≤ 70°:
2θ = 18.41°, d 4.819, intensity 164
2θ = 26.58°, d 3.353, intensity 347
2θ = 26.77°, d 3.330, intensity 131
2θ = 29.05°, d 3.074, intensity 189
2θ = 32.79°, d 2.731, intensity 1000
2θ = 33.65°, d 2.664, intensity 149
2θ = 36.68°, d 2.450, intensity 555
2θ = 50.62°, d 1.803, intensity 187
2θ = 52.85°, d 1.732, intensity 195
2θ = 60.16°, d 1.538, intensity 127
2θ = 61.83°, d 1.501, intensity 135
2θ = 63.60°, d 1.463, intensity 304



The following is a calculated X-ray diffraction stick pattern of Er3H2. It was derived from a GGA-PBE-relaxed structure, using Cu Ka.
Intensities are scaled so that the largest is 1000.

Structural model:
a b c (Å): 6.512 6.512 6.512
angles (deg): 57.06 57.06 57.06
Fractional positions:
Er  0.082  0.750  0.418
Er  0.250  0.582  0.918
Er  0.418  0.082  0.750
Er  0.582  0.918  0.250
Er  0.750  0.418  0.082
Er  0.918  0.250  0.582
H  0.168  0.168  0.168
H  0.332  0.332  0.332
H  0.668  0.668  0.668
H  0.832  0.832  0.832

Largest 11 diffraction maxima, in order of rising 2θ, 5° ≤ 2θ ≤ 70°:
2θ = 28.70°, d 3.110, intensity 237
2θ = 32.98°, d 2.716, intensity 223
2θ = 33.19°, d 2.699, intensity 1000
2θ = 44.28°, d 2.046, intensity 154
2θ = 50.85°, d 1.796, intensity 204
2θ = 59.03°, d 1.565, intensity 194
2θ = 59.44°, d 1.555, intensity 31
2θ = 61.95°, d 1.498, intensity 222
2θ = 62.09°, d 1.495, intensity 167
2θ = 69.18°, d 1.358, intensity 27
2θ = 69.68°, d 1.349, intensity 40



The following is a calculated X-ray diffraction stick pattern of Er8CdIn2. It was derived from a GGA-PBE-relaxed structure, using Cu Ka.
Intensities are scaled so that the largest is 1000.

Structural model:
a b c (Å): 8.759 8.759 8.759
angles (deg): 146.21 121.98 68.85
Fractional positions:
Er  0.129  0.344  0.785
Er  0.142  0.142  0.000
Er  0.311  0.000  0.311
Er  0.441  0.656  0.785
Er  0.559  0.344  0.215
Er  0.689  0.000  0.689
Er  0.858  0.858  0.000
Er  0.871  0.656  0.215
Cd  0.000  0.500  0.500
In  0.302  0.802  0.500
In  0.698  0.198  0.500

Largest 12 diffraction maxima, in order of rising 2θ, 5° ≤ 2θ ≤ 70°:
2θ = 32.18°, d 2.782, intensity 417
2θ = 33.17°, d 2.701, intensity 1000
2θ = 35.25°, d 2.546, intensity 289
2θ = 37.34°, d 2.408, intensity 161
2θ = 38.45°, d 2.341, intensity 67
2θ = 42.57°, d 2.124, intensity 77
2θ = 48.49°, d 1.877, intensity 101
2θ = 52.29°, d 1.750, intensity 122
2θ = 55.05°, d 1.668, intensity 95
2θ = 61.95°, d 1.498, intensity 165
2θ = 63.17°, d 1.472, intensity 120
2θ = 67.08°, d 1.395, intensity 101



The following is a calculated X-ray diffraction stick pattern of Cs2BaLi2Cl7. It was derived from a GGA-PBE-relaxed structure, using Cu Ka.
Intensities are scaled so that the largest is 1000.

Structural model:
a b c (Å): 5.085 5.085 13.772
angles (deg): 98.56 98.56 89.50
Fractional positions:
Cs  0.187  0.187  0.361
Cs  0.813  0.813  0.639
Ba  0.000  0.000  0.000
Li  0.393  0.393  0.803
Li  0.607  0.607  0.197
Cl  0.098  0.591  0.161
Cl  0.302  0.302  0.625
Cl  0.409  0.902  0.839
Cl  0.500  0.500  0.000
Cl  0.591  0.098  0.161
Cl  0.698  0.698  0.375
Cl  0.902  0.409  0.839

Largest 12 diffraction maxima, in order of rising 2θ, 5° ≤ 2θ ≤ 70°:
2θ = 17.64°, d 5.028, intensity 317
2θ = 17.89°, d 4.959, intensity 357
2θ = 19.77°, d 4.490, intensity 479
2θ = 23.61°, d 3.768, intensity 408
2θ = 24.54°, d 3.628, intensity 358
2θ = 24.69°, d 3.606, intensity 388
2θ = 24.87°, d 3.580, intensity 380
2θ = 30.97°, d 2.888, intensity 515
2θ = 31.98°, d 2.799, intensity 1000
2θ = 32.68°, d 2.740, intensity 488
2θ = 35.33°, d 2.540, intensity 965
2θ = 40.15°, d 2.246, intensity 268



Copy entry 3 word for word.
The following is a calculated X-ray diffraction stick pattern of Er8CdIn2. It was derived from a GGA-PBE-relaxed structure, using Cu Ka.
Intensities are scaled so that the largest is 1000.

Structural model:
a b c (Å): 8.759 8.759 8.759
angles (deg): 146.21 121.98 68.85
Fractional positions:
Er  0.129  0.344  0.785
Er  0.142  0.142  0.000
Er  0.311  0.000  0.311
Er  0.441  0.656  0.785
Er  0.559  0.344  0.215
Er  0.689  0.000  0.689
Er  0.858  0.858  0.000
Er  0.871  0.656  0.215
Cd  0.000  0.500  0.500
In  0.302  0.802  0.500
In  0.698  0.198  0.500

Largest 12 diffraction maxima, in order of rising 2θ, 5° ≤ 2θ ≤ 70°:
2θ = 32.18°, d 2.782, intensity 417
2θ = 33.17°, d 2.701, intensity 1000
2θ = 35.25°, d 2.546, intensity 289
2θ = 37.34°, d 2.408, intensity 161
2θ = 38.45°, d 2.341, intensity 67
2θ = 42.57°, d 2.124, intensity 77
2θ = 48.49°, d 1.877, intensity 101
2θ = 52.29°, d 1.750, intensity 122
2θ = 55.05°, d 1.668, intensity 95
2θ = 61.95°, d 1.498, intensity 165
2θ = 63.17°, d 1.472, intensity 120
2θ = 67.08°, d 1.395, intensity 101



Please write out number 2 again, unchanged.
The following is a calculated X-ray diffraction stick pattern of Er3H2. It was derived from a GGA-PBE-relaxed structure, using Cu Ka.
Intensities are scaled so that the largest is 1000.

Structural model:
a b c (Å): 6.512 6.512 6.512
angles (deg): 57.06 57.06 57.06
Fractional positions:
Er  0.082  0.750  0.418
Er  0.250  0.582  0.918
Er  0.418  0.082  0.750
Er  0.582  0.918  0.250
Er  0.750  0.418  0.082
Er  0.918  0.250  0.582
H  0.168  0.168  0.168
H  0.332  0.332  0.332
H  0.668  0.668  0.668
H  0.832  0.832  0.832

Largest 11 diffraction maxima, in order of rising 2θ, 5° ≤ 2θ ≤ 70°:
2θ = 28.70°, d 3.110, intensity 237
2θ = 32.98°, d 2.716, intensity 223
2θ = 33.19°, d 2.699, intensity 1000
2θ = 44.28°, d 2.046, intensity 154
2θ = 50.85°, d 1.796, intensity 204
2θ = 59.03°, d 1.565, intensity 194
2θ = 59.44°, d 1.555, intensity 31
2θ = 61.95°, d 1.498, intensity 222
2θ = 62.09°, d 1.495, intensity 167
2θ = 69.18°, d 1.358, intensity 27
2θ = 69.68°, d 1.349, intensity 40